Ba5Ga6H2: calculated X-ray powder pattern (a wavelength of 1.5418 Å), based on a cell relaxed with PBE.
Peak positions follow from Bragg's law for the DFT cell and can differ from measured ones.

Atomic structure:
Lattice parameters (Å, degrees): 7.8291 7.8291 14.4926 90.00 90.00 120.00
Space group P-3c1 (No. 165)
One atom of each set of equivalent atoms:
Ba 0.0000 0.3560 0.2500 x6
Ba 0.3333 0.6667 0.0164 x4
Ga 0.0158 0.2084 0.9223 x12
H 0.3333 0.6667 0.2017 x4

Top 12 peaks for 10 to 90 degrees two-theta, in order of rising 2θ:
d 3.779, 23.54 deg, intensity 38
d 3.444, 25.87 deg, intensity 93
d 3.196, 27.92 deg, intensity 26
d 3.071, 29.08 deg, intensity 26
d 3.041, 29.37 deg, intensity 100
d 2.563, 35.01 deg, intensity 23
d 2.416, 37.22 deg, intensity 35
d 2.262, 39.86 deg, intensity 40
d 2.056, 44.05 deg, intensity 23
d 1.918, 47.39 deg, intensity 55
d 1.521, 60.92 deg, intensity 22
d 1.450, 64.25 deg, intensity 24



Sr2Sm2Mg15: calculated X-ray powder pattern (a wavelength of 1.5418 Å), based on a cell relaxed with PBE.
Peak positions follow from Bragg's law for the DFT cell and can differ from measured ones.

Atomic structure:
Lattice parameters (Å, degrees): 10.7337 10.7337 15.7173 90.00 90.00 120.00
Space group R-3m (No. 166, hexagonal axes)
One atom of each set of equivalent atoms:
Sr 0.0000 0.0000 0.1594 x6
Sm 0.0000 0.0000 0.4056 x6
Mg 0.0000 0.2959 0.5000 x18
Mg 0.0000 0.5000 0.0000 x9
Mg 0.0022 0.5011 0.6503 x18

Top 12 peaks for 10 to 90 degrees two-theta, in order of rising 2θ:
d 8.001, 11.06 deg, intensity 68
d 5.367, 16.52 deg, intensity 100
d 3.619, 24.60 deg, intensity 32
d 3.099, 28.81 deg, intensity 72
d 3.001, 29.77 deg, intensity 40
d 2.978, 30.01 deg, intensity 21
d 2.683, 33.39 deg, intensity 72
d 2.667, 33.60 deg, intensity 35
d 2.619, 34.24 deg, intensity 40
d 2.604, 34.44 deg, intensity 34
d 2.343, 38.43 deg, intensity 27
d 1.521, 60.90 deg, intensity 21



Copy entry 1 word for word.
Ba5Ga6H2: calculated X-ray powder pattern (a wavelength of 1.5418 Å), based on a cell relaxed with PBE.
Peak positions follow from Bragg's law for the DFT cell and can differ from measured ones.

Atomic structure:
Lattice parameters (Å, degrees): 7.8291 7.8291 14.4926 90.00 90.00 120.00
Space group P-3c1 (No. 165)
One atom of each set of equivalent atoms:
Ba 0.0000 0.3560 0.2500 x6
Ba 0.3333 0.6667 0.0164 x4
Ga 0.0158 0.2084 0.9223 x12
H 0.3333 0.6667 0.2017 x4

Top 12 peaks for 10 to 90 degrees two-theta, in order of rising 2θ:
d 3.779, 23.54 deg, intensity 38
d 3.444, 25.87 deg, intensity 93
d 3.196, 27.92 deg, intensity 26
d 3.071, 29.08 deg, intensity 26
d 3.041, 29.37 deg, intensity 100
d 2.563, 35.01 deg, intensity 23
d 2.416, 37.22 deg, intensity 35
d 2.262, 39.86 deg, intensity 40
d 2.056, 44.05 deg, intensity 23
d 1.918, 47.39 deg, intensity 55
d 1.521, 60.92 deg, intensity 22
d 1.450, 64.25 deg, intensity 24